# CeNd4Y10
Theoretical powder diffraction line list, Cu Ka. Input: a crystal structure in Alexandria, relaxed with GGA-PBE.
Neutral-atom scattering factors, no anomalous dispersion.

Cell and atoms:
abc: 8.960 8.960 8.960
angles: 101.53 101.53 126.88
Positions (direct):
Ce  0.000  0.000  0.000
Nd  0.226  0.226  0.452
Nd  0.226  0.774  0.000
Nd  0.774  0.226  0.000
Nd  0.774  0.774  0.548
Y  0.086  0.293  0.793
Y  0.250  0.750  0.500
Y  0.293  0.086  0.793
Y  0.293  0.500  0.207
Y  0.500  0.293  0.207
Y  0.500  0.707  0.793
Y  0.707  0.500  0.793
Y  0.707  0.914  0.207
Y  0.750  0.250  0.500
Y  0.914  0.707  0.207

Largest 6 diffraction maxima, by angle, 10° ≤ 2θ ≤ 90°:
Position (°2θ)	d_spacing	intensity
27.3	3.271	31
30.5	2.926	32
31.6	2.833	100
33.5	2.671	21
40.6	2.223	26
45.3	2.003	18

---

# Ti4W
Theoretical powder diffraction line list, Cu Ka. Input: a crystal structure in Alexandria, relaxed with GGA-PBE.
Neutral-atom scattering factors, no anomalous dispersion.

Cell and atoms:
abc: 5.218 4.617 7.132
angles: 90.00 101.60 90.00
Positions (direct):
Ti  0.034  0.250  0.346
Ti  0.137  0.750  0.077
Ti  0.291  0.250  0.733
Ti  0.451  0.250  0.137
Ti  0.549  0.750  0.863
Ti  0.709  0.750  0.267
Ti  0.863  0.250  0.923
Ti  0.966  0.750  0.654
W  0.348  0.750  0.461
W  0.652  0.250  0.539

Largest 6 diffraction maxima, by angle, 10° ≤ 2θ ≤ 90°:
Position (°2θ)	d_spacing	intensity
12.7	6.987	68
26.0	3.426	19
39.0	2.309	36
39.2	2.298	100
40.1	2.247	61
56.5	1.630	21

---

# SrIn2Ni2Sn
Theoretical powder diffraction line list, Cu Ka. Input: a crystal structure in Alexandria, relaxed with GGA-PBE.
Neutral-atom scattering factors, no anomalous dispersion.

Cell and atoms:
abc: 4.759 4.759 6.360
angles: 90.00 90.00 90.00
Positions (direct):
Sr  0.000  0.000  0.000
In  0.500  0.500  0.256
In  0.500  0.500  0.744
Ni  0.000  0.500  0.500
Ni  0.500  0.000  0.500
Sn  0.000  0.000  0.500

Largest 6 diffraction maxima, by angle, 10° ≤ 2θ ≤ 90°:
Position (°2θ)	d_spacing	intensity
13.9	6.360	33
26.5	3.365	47
33.9	2.644	100
37.8	2.380	62
51.7	1.769	60
54.5	1.683	21

---

# PaNiIrRh
Theoretical powder diffraction line list, Cu Ka. Input: a crystal structure in Alexandria, relaxed with GGA-PBE.
Neutral-atom scattering factors, no anomalous dispersion.

Cell and atoms:
abc: 3.939 4.036 4.074
angles: 90.00 90.00 90.00
Positions (direct):
Pa  0.000  0.000  0.000
Ni  0.000  0.500  0.500
Ir  0.500  0.000  0.500
Rh  0.500  0.500  0.000

Largest 6 diffraction maxima, by angle, 10° ≤ 2θ ≤ 90°:
Position (°2θ)	d_spacing	intensity
22.0	4.036	18
31.6	2.832	15
38.8	2.318	100
44.5	2.037	17
44.9	2.018	17
46.1	1.970	15

---

# La4PmPr3Se8
Theoretical powder diffraction line list, Cu Ka. Input: a crystal structure in Alexandria, relaxed with GGA-PBE.
Neutral-atom scattering factors, no anomalous dispersion.

Cell and atoms:
abc: 8.552 8.552 8.552
angles: 60.17 60.17 60.17
Positions (direct):
La  0.000  0.000  0.000
La  0.000  0.500  0.500
La  0.500  0.000  0.500
La  0.500  0.500  0.000
Pm  0.500  0.500  0.500
Pr  0.000  0.000  0.500
Pr  0.000  0.500  0.000
Pr  0.500  0.000  0.000
Se  0.249  0.249  0.249
Se  0.252  0.747  0.747
Se  0.253  0.253  0.748
Se  0.253  0.748  0.253
Se  0.747  0.252  0.747
Se  0.747  0.747  0.252
Se  0.748  0.253  0.253
Se  0.751  0.751  0.751

Largest 6 diffraction maxima, by angle, 10° ≤ 2θ ≤ 90°:
Position (°2θ)	d_spacing	intensity
29.5	3.028	100
42.2	2.144	38
42.3	2.138	37
52.3	1.749	20
69.3	1.355	17
77.1	1.237	19

---

# Np2Hg2I7
Theoretical powder diffraction line list, Cu Ka. Input: a crystal structure in Alexandria, relaxed with GGA-PBE.
Neutral-atom scattering factors, no anomalous dispersion.

Cell and atoms:
abc: 11.230 11.230 11.230
angles: 159.19 93.59 90.15
Positions (direct):
Np  0.199  0.000  0.199
Np  0.801  0.000  0.801
Hg  0.288  0.788  0.500
Hg  0.679  0.679  0.000
I  0.054  0.054  0.000
I  0.314  0.461  0.853
I  0.352  0.649  0.703
I  0.609  0.461  0.147
I  0.741  0.369  0.372
I  0.946  0.649  0.297
I  0.996  0.369  0.628

Largest 6 diffraction maxima, by angle, 10° ≤ 2θ ≤ 90°:
Position (°2θ)	d_spacing	intensity
16.1	5.520	100
25.3	3.517	85
27.7	3.219	86
30.3	2.952	62
32.6	2.748	79
36.2	2.481	85

---

# SbH3F8
Theoretical powder diffraction line list, Cu Ka. Input: a crystal structure in Alexandria, relaxed with GGA-PBE.
Neutral-atom scattering factors, no anomalous dispersion.

Cell and atoms:
abc: 5.147 11.632 5.820
angles: 90.00 94.99 90.00
Positions (direct):
Sb  0.162  0.000  0.238
Sb  0.838  0.500  0.762
H  0.176  0.292  0.695
H  0.216  0.858  0.679
H  0.319  0.204  0.467
H  0.681  0.704  0.533
H  0.784  0.358  0.321
H  0.824  0.792  0.305
F  0.012  0.843  0.213
F  0.017  0.553  0.039
F  0.105  0.799  0.728
F  0.109  0.546  0.583
F  0.329  0.156  0.290
F  0.337  0.247  0.643
F  0.358  0.954  0.520
F  0.445  0.953  0.074
F  0.555  0.453  0.926
F  0.642  0.454  0.480
F  0.663  0.747  0.357
F  0.671  0.656  0.710
F  0.891  0.046  0.417
F  0.895  0.299  0.272
F  0.983  0.053  0.961
F  0.988  0.343  0.787

Largest 6 diffraction maxima, by angle, 10° ≤ 2θ ≤ 90°:
Position (°2θ)	d_spacing	intensity
15.2	5.816	52
17.1	5.189	100
18.9	4.692	59
27.0	3.306	21
28.7	3.113	18
30.8	2.904	20

---

# LiNdEuTc
Theoretical powder diffraction line list, Cu Ka. Input: a crystal structure in Alexandria, relaxed with GGA-PBE.
Neutral-atom scattering factors, no anomalous dispersion.

Cell and atoms:
abc: 5.081 5.081 5.081
angles: 60.00 60.00 60.00
Positions (direct):
Li  0.000  0.000  0.000
Nd  0.750  0.750  0.750
Eu  0.250  0.250  0.250
Tc  0.500  0.500  0.500

Largest 6 diffraction maxima, by angle, 10° ≤ 2θ ≤ 90°:
Position (°2θ)	d_spacing	intensity
21.4	4.148	14
24.8	3.592	28
35.3	2.540	100
50.8	1.796	18
63.4	1.467	36
85.5	1.136	16